This entry pairs a crystal structure of Mn3VFe2P6O24 with its calculated X-ray diffraction stick pattern. Radiation: Cu Kα, 1.54184 Å. Structure: a GGA+U-relaxed structure.
No peak broadening, texture or thermal motion is included.

Peak list (8 most intense, 10 to 80 degrees two-theta, in order of falling intensity)
2theta	Rel. int.
24.28	100
20.56	80
33.15	66
36.00	36
47.53	31
49.75	25
56.34	23
62.92	18

Structure:
```
Mn3VFe2P6O24
1.0
4.3207 2.4946 6.9256
-4.3207 2.4946 6.9256
0.0000 -4.9891 6.9256
Mn V Fe P O
3 1 2 6 24
Direct
0.0000 0.0000 0.0000
0.2137 0.2137 0.2137
0.7135 0.7135 0.7135
0.4995 0.4995 0.4995
0.3570 0.3570 0.3570
0.8562 0.8562 0.8562
0.1062 0.8154 0.4002
0.3143 0.6062 0.8990
0.4002 0.1062 0.8154
0.6062 0.8990 0.3143
0.8154 0.4002 0.1062
0.8990 0.3143 0.6062
0.0473 0.8440 0.2435
0.0954 0.2996 0.4432
0.1182 0.7664 0.9079
0.1652 0.9747 0.3669
0.2435 0.0473 0.8440
0.2713 0.6177 0.4195
0.2996 0.4432 0.0954
0.3590 0.5403 0.7379
0.3669 0.1652 0.9747
0.4195 0.2713 0.6177
0.4432 0.0954 0.2996
0.4710 0.6665 0.8679
0.5403 0.7379 0.3590
0.5979 0.9465 0.7980
0.6177 0.4195 0.2713
0.6665 0.8679 0.4710
0.7379 0.3590 0.5403
0.7664 0.9079 0.1182
0.7980 0.5979 0.9465
0.8440 0.2435 0.0473
0.8679 0.4710 0.6665
0.9079 0.1182 0.7664
0.9465 0.7980 0.5979
0.9747 0.3669 0.1652
```